Starting from a GGA+U-relaxed structure, the powder X-ray diffraction pattern of RbVCrF6 was simulated for Cu Kα (λ = 1.5418 Å).
Peak positions follow from Bragg's law for the DFT cell and can differ from measured ones.

Crystal structure
```
RbVCrF6
1.0
2.747 -4.742 0.000
2.747 4.742 0.000
-0.006 0.000 6.080
Rb V Cr F
1 1 1 6
Direct
0.000 0.000 0.000
0.667 0.333 0.500
0.333 0.667 0.500
0.022 0.639 0.321
0.023 0.384 0.679
0.360 0.383 0.322
0.361 0.978 0.679
0.616 0.977 0.321
0.617 0.640 0.678
```

The 10 most intense peaks (5° ≤ 2θ ≤ 70°), sorted by position:
2θ 14.57, intensity 145; 2θ 23.77, intensity 1000; 2θ 32.65, intensity 186; 2θ 35.92, intensity 116; 2θ 40.76, intensity 111; 2θ 44.49, intensity 454; 2θ 48.86, intensity 97; 2θ 53.13, intensity 83; 2θ 53.25, intensity 109; 2θ 58.22, intensity 87